Simulated X-ray diffraction stick pattern
Compound: LiCuPO4
Radiation: λ = 1.5418 Å (Cu Kα)
Structure: a DFT-relaxed cell (PBE, the Materials Project)

Principal peaks in the range 5° ≤ 2θ ≤ 70°, by angle:
two_theta  I/Imax
13.64  52
18.14  100
23.74  90
28.99  44
30.04  99
33.13  36
36.63  34
37.81  26
41.17  87
52.87  32

Atomic structure:
Cell lengths 7.4945, 7.4945, 9.7794 Å; angles 90.00, 90.00, 120.00 degrees
Space group P31c (No. 159)
Symmetry-distinct sites (fractional):
Li1 0.0697 0.5877 0.0000 x6
Cu1 0.0433 0.2704 0.7890 x6
P1 0.0000 0.0000 0.0247 x2
P2 0.3333 0.6667 0.2879 x2
P3 0.3333 0.6667 0.6994 x2
O1 0.0000 0.0000 0.1906 x2
O2 0.0983 0.8733 0.9741 x6
O3 0.1146 0.5135 0.3465 x6
O4 0.2027 0.4439 0.6410 x6
O5 0.3333 0.6667 0.1303 x2
O6 0.3333 0.6667 0.8575 x2